This entry pairs a crystal structure of YMg2ScAg4 with its simulated powder XRD pattern. Radiation: Cu Kα (weighted mean of Kα1 and Kα2). Structure: a crystal structure in Alexandria, relaxed with PBE.
Kinematic intensities with the Lorentz-polarization factor, no thermal factor.

Crystal structure
```
data_YMg2ScAg4
_chemical_formula_sum 'Y1 Mg2 Sc1 Ag4'
_symmetry_space_group_name_H-M 'P 1'
_symmetry_Int_Tables_number 1
_symmetry_space_group_name_Hall 'P 1'
_cell_length_a 8.4546
_cell_length_b 8.4546
_cell_length_c 8.4546
_cell_angle_alpha 33.41
_cell_angle_beta 33.41
_cell_angle_gamma 33.41
loop_
_atom_site_label
_atom_site_fract_x
_atom_site_fract_y
_atom_site_fract_z
Y1 0.0000 0.0000 0.0000
Mg1 0.2483 0.2483 0.2483
Mg2 0.7517 0.7517 0.7517
Sc1 0.5000 0.5000 0.5000
Ag1 0.1283 0.1283 0.1283
Ag2 0.3798 0.3798 0.3798
Ag3 0.6202 0.6202 0.6202
Ag4 0.8717 0.8717 0.8717
```

Main lines, in order of falling intensity (2θ from 15° to 90°):
Position (°2θ), I_rel
36.99, 100
36.87, 98
66.60, 48
25.88, 43
53.22, 32
66.34, 15
78.75, 10
45.70, 9


This entry pairs a crystal structure of Pm6SnHg with its simulated powder XRD pattern. Radiation: Cu Kα (weighted mean of Kα1 and Kα2). Structure: a crystal structure in Alexandria, relaxed with PBE.
Kinematic intensities with the Lorentz-polarization factor, no thermal factor.

Crystal structure
```
data_Pm6SnHg
_chemical_formula_sum 'Pm6 Sn1 Hg1'
_symmetry_space_group_name_H-M 'P 1'
_symmetry_Int_Tables_number 1
_symmetry_space_group_name_Hall 'P 1'
_cell_length_a 4.9278
_cell_length_b 4.9278
_cell_length_c 9.8027
_cell_angle_alpha 90.00
_cell_angle_beta 90.00
_cell_angle_gamma 90.00
loop_
_atom_site_label
_atom_site_fract_x
_atom_site_fract_y
_atom_site_fract_z
Pm1 0.0000 0.0000 0.0000
Pm2 0.0000 0.0000 0.5000
Pm3 0.0000 0.5000 0.2488
Pm4 0.0000 0.5000 0.7512
Pm5 0.5000 0.0000 0.2488
Pm6 0.5000 0.0000 0.7512
Sn1 0.5000 0.5000 0.0000
Hg1 0.5000 0.5000 0.5000
```

Main lines, in order of falling intensity (2θ from 15° to 90°):
Position (°2θ), I_rel
31.50, 100
36.47, 34
62.55, 28
52.68, 24
36.67, 17
62.82, 14
65.76, 12
86.26, 12


This entry pairs a crystal structure of Cd4FeCu10Sn5Se20 with its simulated powder XRD pattern. Radiation: Cu Kα (weighted mean of Kα1 and Kα2). Structure: a crystal structure in Alexandria, relaxed with PBE.
Kinematic intensities with the Lorentz-polarization factor, no thermal factor.

Crystal structure
```
data_Cd4FeCu10Sn5Se20
_chemical_formula_sum 'Cd4 Fe1 Cu10 Sn5 Se20'
_symmetry_space_group_name_H-M 'P 1'
_symmetry_Int_Tables_number 1
_symmetry_space_group_name_Hall 'P 1'
_cell_length_a 7.1229
_cell_length_b 7.1229
_cell_length_c 26.2281
_cell_angle_alpha 90.77
_cell_angle_beta 90.77
_cell_angle_gamma 48.77
loop_
_atom_site_label
_atom_site_fract_x
_atom_site_fract_y
_atom_site_fract_z
Cd1 0.1007 0.1007 0.3992
Cd2 0.3014 0.3050 0.1972
Cd3 0.6950 0.6986 0.8028
Cd4 0.8993 0.8993 0.6008
Fe1 0.5026 0.4974 0.0000
Cu1 0.1984 0.2022 0.0471
Cu2 0.2006 0.2001 0.5503
Cu3 0.3996 0.4010 0.3495
Cu4 0.4014 0.3976 0.8537
Cu5 0.5990 0.6004 0.6505
Cu6 0.6024 0.5986 0.1463
Cu7 0.7978 0.8016 0.9529
Cu8 0.7999 0.7994 0.4497
Cu9 0.9972 0.0010 0.7513
Cu10 0.9990 0.0028 0.2487
Sn1 0.0961 0.0965 0.9040
Sn2 0.2983 0.3003 0.7024
Sn3 0.5000 0.5000 0.5000
Sn4 0.6997 0.7017 0.2976
Sn5 0.9035 0.9039 0.0960
Se1 0.0062 0.5220 0.3758
Se2 0.0150 0.5046 0.8820
Se3 0.0919 0.5839 0.5208
Se4 0.1212 0.5773 0.0199
Se5 0.2078 0.7268 0.1747
Se6 0.2160 0.7069 0.6807
Se7 0.2732 0.7922 0.8253
Se8 0.2931 0.7840 0.3193
Se9 0.4161 0.9081 0.4792
Se10 0.4227 0.8788 0.9801
Se11 0.4780 0.9938 0.6242
Se12 0.4954 0.9850 0.1180
Se13 0.6081 0.1176 0.7803
Se14 0.6147 0.1113 0.2777
Se15 0.6753 0.2021 0.9289
Se16 0.6807 0.1916 0.4223
Se17 0.7979 0.3247 0.0711
Se18 0.8084 0.3193 0.5777
Se19 0.8824 0.3919 0.2197
Se20 0.8887 0.3853 0.7223
```

Main lines, in order of falling intensity (2θ from 15° to 90°):
Position (°2θ), I_rel
26.39, 100
43.91, 47
51.60, 30
43.50, 25
80.15, 15
52.33, 13
70.33, 10
81.02, 6